Diffraction record for Th6P5. The X-ray diffraction stick pattern is calculated, not measured: it uses a DFT-relaxed cell (PBE, Alexandria) and CuKα.
Lines closer than 0.1° are merged.

Atomic structure:
Lattice parameters (Å, degrees): 7.1053 7.1053 7.1279 99.60 99.60 119.85
Fractional coordinates of all 11 atoms:
Th1 0.0800 0.4173 0.7496
Th2 0.2470 0.2470 0.2535
Th3 0.4173 0.0800 0.7496
Th4 0.5827 0.9200 0.2504
Th5 0.7530 0.7530 0.7465
Th6 0.9200 0.5827 0.2504
P1 0.0000 0.0000 0.5000
P2 0.1660 0.8340 0.0000
P3 0.3319 0.6681 0.5000
P4 0.6681 0.3319 0.5000
P5 0.8340 0.1660 0.0000

Most intense lines, 2θ = 10–80°, in order of rising 2θ:
| 2theta | I_rel |
| --- | --- |
| 26.57 | 100 |
| 30.77 | 84 |
| 44.06 | 53 |
| 44.19 | 10 |
| 52.18 | 29 |
| 52.29 | 17 |
| 54.62 | 6 |
| 54.80 | 11 |
| 64.14 | 7 |
| 70.58 | 10 |
| 70.69 | 7 |
| 72.73 | 20 |